Diffraction record for NdTi2MoO8. The XRD peak list is computed, not measured: it uses DFT lattice parameters and positions (GGA+U) and Cu Kα X-rays.
No peak broadening, texture or thermal motion is included.

Largest 12 diffraction maxima, in order of rising 2θ, 15 to 90 degrees two-theta:
| d [Å] | two_theta | I_rel | hkl |
| --- | --- | --- | --- |
| 4.837 | 18.3 | 74 | 1 1 0 |
| 3.701 | 24.0 | 100 | 2 0 0 |
| 3.195 | 27.9 | 74 | 0 2 0 |
| 2.909 | 30.7 | 92 | 1 1 -2 |
| 2.663 | 33.6 | 65 | 1 1 2 |
| 2.419 | 37.2 | 23 | 2 2 0 |
| 2.326 | 38.7 | 37 | 0 2 2 |
| 2.302 | 39.1 | 31 | 3 1 0 |
| 2.035 | 44.5 | 23 | 3 1 -2 |
| 1.797 | 50.8 | 28 | 3 1 2 |
| 1.784 | 51.2 | 27 | 1 3 -2 |
| 1.723 | 53.2 | 23 | 1 3 2 |

```
data_NdTi2MoO8
_chemical_formula_sum 'Nd2 Ti4 Mo2 O16'
_symmetry_space_group_name_H-M 'C 1 2/m 1'
_symmetry_Int_Tables_number 12
_symmetry_space_group_name_Hall '-C 2y'
_cell_length_a 7.479
_cell_length_b 6.390
_cell_length_c 6.857
_cell_angle_alpha 90.00
_cell_angle_beta 98.22
_cell_angle_gamma 90.00
loop_
_atom_site_label
_atom_site_type_symbol
_atom_site_fract_x
_atom_site_fract_y
_atom_site_fract_z
Nd1 Nd 0.000 0.000 0.000
Ti1 Ti 0.058 0.500 0.225
Mo1 Mo 0.000 0.000 0.500
O1 O 0.004 0.219 0.279
O2 O 0.173 0.500 0.008
O3 O 0.246 0.500 0.445
```